Theoretical X-ray diffraction stick pattern of Tm2CIF for Cu Kα (λ = 1.5418 Å), from a DFT-relaxed cell (GGA-PBE, OQMD).

Cell and atoms:
abc: 3.6681 3.6681 8.3524
angles: 90.00 90.00 120.00
Space group P3m1 (No. 156)
One atom of each set of equivalent atoms:
Tm1 0.0000 0.0000 0.0000 [1 per cell]
Tm2 0.3333 0.6667 0.3103 [1 per cell]
C1 0.6667 0.3333 0.1644 [1 per cell]
I1 0.0000 0.0000 0.5752 [1 per cell]
F1 0.3333 0.6667 0.8911 [1 per cell]

Largest 12 diffraction maxima, by angle, 10 to 90 degrees two-theta:
Position (°2θ)  intensity
10.59  19
28.09  39
30.10  42
32.15  19
35.51  100
43.21  15
49.71  32
60.44  19
62.57  19
62.85  19
68.01  13
83.84  17

---

Theoretical X-ray diffraction stick pattern of TbDyAg2S4 for Cu Kα (λ = 1.5418 Å), from a DFT-relaxed cell (GGA-PBE, OQMD).

Cell and atoms:
abc: 9.2599 9.2631 4.1309
angles: 90.00 90.00 90.00
Space group Cmm2 (No. 35)
One atom of each set of equivalent atoms:
Tb1 0.0000 0.0000 0.0000 [2 per cell]
Dy1 0.0000 0.5000 0.5498 [2 per cell]
Ag1 0.2500 0.2500 0.7749 [4 per cell]
S1 0.0000 0.2998 0.0432 [4 per cell]
S2 0.2008 0.0000 0.5066 [4 per cell]

Largest 12 diffraction maxima, by angle, 10 to 90 degrees two-theta:
Position (°2θ)  intensity
21.51  30
25.49  85
27.23  92
28.97  40
34.97  42
37.65  100
38.90  75
47.09  38
48.25  59
63.53  23
63.63  43
89.94  28

---

Theoretical X-ray diffraction stick pattern of TaTlI6 for Cu Kα (λ = 1.5418 Å), from a DFT-relaxed cell (GGA-PBE, OQMD).

Cell and atoms:
abc: 13.3865 7.6228 13.6393
angles: 90.00 102.02 90.00
Space group C2/c (No. 15)
One atom of each set of equivalent atoms:
Ta1 0.2500 0.2500 0.0000 [4 per cell]
Tl1 0.0000 0.0341 0.7500 [4 per cell]
I1 0.0692 0.3989 0.8972 [8 per cell]
I2 0.1471 0.0572 0.5220 [8 per cell]
I3 0.2118 0.3766 0.1780 [8 per cell]

Largest 12 diffraction maxima, by angle, 10 to 90 degrees two-theta:
Position (°2θ)  intensity
14.36  87
16.89  23
27.07  22
27.20  66
27.75  50
28.71  100
29.14  100
36.56  32
40.75  22
42.24  26
45.76  32
50.23  27

---

Theoretical X-ray diffraction stick pattern of Ga2GeMo2 for Cu Kα (λ = 1.5418 Å), from a DFT-relaxed cell (GGA-PBE, OQMD).

Cell and atoms:
abc: 3.4651 3.4651 13.6288
angles: 90.00 90.00 90.00
Space group I4/mmm (No. 139)
One atom of each set of equivalent atoms:
Ga1 0.0000 0.5000 0.2500 [4 per cell]
Ge1 0.0000 0.0000 0.0000 [2 per cell]
Mo1 0.0000 0.0000 0.4062 [4 per cell]

Largest 12 diffraction maxima, by angle, 10 to 90 degrees two-theta:
Position (°2θ)  intensity
26.54  25
32.50  24
39.07  100
39.68  17
42.18  65
45.60  32
52.84  40
54.02  14
68.06  13
69.82  28
77.99  12
80.67  21

---

Theoretical X-ray diffraction stick pattern of RbDySiC4N8 for Cu Kα (λ = 1.5418 Å), from a DFT-relaxed cell (GGA-PBE, OQMD).

Cell and atoms:
abc: 8.2979 8.2979 6.5251
angles: 90.00 90.00 90.00
Space group I-4 (No. 82)
One atom of each set of equivalent atoms:
Rb1 0.0000 0.0000 0.0000 [2 per cell]
Dy1 0.0000 0.5000 0.7500 [2 per cell]
Si1 0.0000 0.5000 0.2500 [2 per cell]
C1 0.1970 0.2720 0.3765 [8 per cell]
N1 0.0975 0.6242 0.0802 [8 per cell]
N2 0.1512 0.7312 0.6604 [8 per cell]

Largest 12 diffraction maxima, by angle, 10 to 90 degrees two-theta:
Position (°2θ)  intensity
15.10  77
17.29  100
21.42  65
27.65  80
30.47  70
31.37  94
35.24  27
41.61  30
44.30  74
47.26  22
49.10  24
63.93  26

---

Theoretical X-ray diffraction stick pattern of AgSn5W3 for Cu Kα (λ = 1.5418 Å), from a DFT-relaxed cell (GGA-PBE, OQMD).

Cell and atoms:
abc: 5.5196 5.5196 8.1646
angles: 90.00 90.00 120.00
Space group P6/mmm (No. 191)
One atom of each set of equivalent atoms:
Ag1 0.0000 0.0000 0.0000 [1 per cell]
Sn1 0.0000 0.0000 0.5000 [1 per cell]
Sn2 0.3333 0.6667 0.1977 [4 per cell]
W1 0.0000 0.5000 0.5000 [3 per cell]

Largest 12 diffraction maxima, by angle, 10 to 90 degrees two-theta:
Position (°2θ)  intensity
10.84  80
28.76  20
32.44  35
32.91  36
34.30  23
37.63  23
38.05  22
39.28  58
43.90  100
59.56  22
67.93  24
77.57  20

---

Theoretical X-ray diffraction stick pattern of K2OsCl6 for Cu Kα (λ = 1.5418 Å), from a DFT-relaxed cell (GGA-PBE, OQMD).

Cell and atoms:
abc: 6.9341 6.9341 9.9010
angles: 90.00 90.00 90.00
Space group I4/m (No. 87)
One atom of each set of equivalent atoms:
K1 0.0000 0.5000 0.2500 [4 per cell]
Os1 0.0000 0.0000 0.0000 [2 per cell]
Cl1 0.0000 0.0000 0.2368 [4 per cell]
Cl2 0.2221 0.2544 0.0000 [8 per cell]

Largest 12 diffraction maxima, by angle, 10 to 90 degrees two-theta:
Position (°2θ)  intensity
15.60  100
17.92  14
18.09  27
25.57  29
25.69  15
29.99  16
30.20  33
36.29  17
36.66  33
45.23  13
48.20  14
52.54  21